No. 1
Diffraction record for Y2SiO. The X-ray diffraction stick pattern is theoretical, not measured: it uses DFT lattice parameters and positions (GGA-PBE) and Cu Kα (λ = 1.5418 Å).
No peak broadening, texture or thermal motion is included.

Cell: 5.7262 5.6351 11.6286 Å, 90.00 115.86 90.00°
Space group P2/c (No. 13)
One atom of each set of equivalent atoms:
Y1 0.0954 0.2193 0.1073 [4 per cell]
Y2 0.3151 0.2328 0.8586 [4 per cell]
Si1 0.3889 0.2679 0.3741 [4 per cell]
O1 0.0563 0.1823 0.6226 [4 per cell]

Top 10 peaks for 2θ = 5–70°, by angle:
2θ = 27.4°, d = 3.254 Å, rel. 92, hkl 1 1 1
2θ = 28.6°, d = 3.119 Å, rel. 100, hkl 1 1 -3
2θ = 31.3°, d = 2.858 Å, rel. 93, hkl 2 0 -2
2θ = 31.8°, d = 2.818 Å, rel. 94, hkl 0 2 0
2θ = 34.3°, d = 2.616 Å, rel. 75, hkl 0 0 4
2θ = 45.2°, d = 2.006 Å, rel. 62, hkl 2 2 -2
2θ = 47.4°, d = 1.917 Å, rel. 50, hkl 0 2 4
2θ = 48.6°, d = 1.872 Å, rel. 28, hkl 2 0 -6
2θ = 56.6°, d = 1.627 Å, rel. 23, hkl 2 2 2
2θ = 59.3°, d = 1.559 Å, rel. 28, hkl 2 2 -6

No. 2
Diffraction record for Zn2SiO5. The X-ray diffraction stick pattern is theoretical, not measured: it uses DFT lattice parameters and positions (GGA-PBE) and Cu Kα (λ = 1.5418 Å).
No peak broadening, texture or thermal motion is included.

Cell: 7.8019 11.2938 5.1557 Å, 90.00 90.00 90.00°
Space group Imm2 (No. 44)
One atom of each set of equivalent atoms:
Zn1 0.2234 0.1555 0.0000 [8 per cell]
Si1 0.0000 0.1374 0.4902 [4 per cell]
O1 0.0000 0.0000 0.3843 [2 per cell]
O2 0.0000 0.1458 0.8073 [4 per cell]
O3 0.0000 0.5000 0.3207 [2 per cell]
O4 0.1529 0.5000 0.4867 [4 per cell]
O5 0.1723 0.1986 0.3670 [8 per cell]

Top 10 peaks for 2θ = 5–70°, by angle:
2θ = 13.8°, d = 6.419 Å, rel. 50, hkl 1 1 0
2θ = 15.7°, d = 5.647 Å, rel. 36, hkl 0 2 0
2θ = 18.9°, d = 4.690 Å, rel. 78, hkl 0 1 1
2θ = 22.8°, d = 3.901 Å, rel. 44, hkl 2 0 0
2θ = 26.3°, d = 3.391 Å, rel. 54, hkl 1 3 0
2θ = 29.4°, d = 3.040 Å, rel. 40, hkl 0 3 1
2θ = 29.8°, d = 2.999 Å, rel. 93, hkl 2 1 1
2θ = 34.8°, d = 2.578 Å, rel. 53, hkl 0 0 2
2θ = 37.5°, d = 2.398 Å, rel. 100, hkl 2 3 1
2θ = 42.0°, d = 2.150 Å, rel. 36, hkl 2 0 2

No. 3
Diffraction record for ZnSiO. The X-ray diffraction stick pattern is theoretical, not measured: it uses DFT lattice parameters and positions (GGA-PBE) and Cu Kα (λ = 1.5418 Å).
No peak broadening, texture or thermal motion is included.

Cell: 2.6291 2.6291 14.7883 Å, 90.00 90.00 120.00°
Space group P-6m2 (No. 187)
One atom of each set of equivalent atoms:
Zn1 0.0000 0.0000 0.1749 [2 per cell]
Si1 0.0000 0.0000 0.5000 [1 per cell]
Si2 0.6667 0.3333 0.0000 [1 per cell]
O1 0.6667 0.3333 0.4263 [2 per cell]

Top 10 peaks for 2θ = 5–70°, by angle:
2θ = 6.0°, d = 14.788 Å, rel. 46, hkl 0 0 1
2θ = 18.0°, d = 4.929 Å, rel. 100, hkl 0 0 3
2θ = 30.2°, d = 2.958 Å, rel. 20, hkl 0 0 5
2θ = 36.5°, d = 2.465 Å, rel. 20, hkl 0 0 6
2θ = 39.6°, d = 2.277 Å, rel. 42, hkl 1 0 0
2θ = 41.5°, d = 2.176 Å, rel. 26, hkl 1 0 2
2θ = 43.8°, d = 2.067 Å, rel. 90, hkl 1 0 3
2θ = 50.6°, d = 1.804 Å, rel. 7, hkl 1 0 5
2θ = 54.9°, d = 1.672 Å, rel. 36, hkl 1 0 6
2θ = 65.0°, d = 1.435 Å, rel. 6, hkl 1 0 8

No. 4
Diffraction record for Zn2SiO4. The X-ray diffraction stick pattern is theoretical, not measured: it uses DFT lattice parameters and positions (GGA-PBE) and Cu Kα (λ = 1.5418 Å).
No peak broadening, texture or thermal motion is included.

Cell: 4.7988 4.7988 7.8021 Å, 90.00 90.00 90.00°
Space group I-42m (No. 121)
One atom of each set of equivalent atoms:
Zn1 0.0000 0.5000 0.2500 [4 per cell]
Si1 0.0000 0.0000 0.0000 [2 per cell]
O1 0.1992 0.1992 0.8789 [8 per cell]

Top 10 peaks for 2θ = 5–70°, by angle:
2θ = 21.7°, d = 4.088 Å, rel. 23, hkl 1 0 1
2θ = 22.8°, d = 3.901 Å, rel. 27, hkl 0 0 2
2θ = 26.3°, d = 3.393 Å, rel. 36, hkl 1 1 0
2θ = 35.0°, d = 2.560 Å, rel. 100, hkl 1 1 2
2θ = 37.5°, d = 2.399 Å, rel. 18, hkl 2 0 0
2θ = 44.3°, d = 2.044 Å, rel. 21, hkl 2 0 2
2θ = 54.0°, d = 1.697 Å, rel. 18, hkl 2 2 0
2θ = 54.2°, d = 1.691 Å, rel. 12, hkl 1 1 4
2θ = 61.2°, d = 1.514 Å, rel. 26, hkl 2 0 4
2θ = 66.1°, d = 1.414 Å, rel. 26, hkl 3 1 2